Starting from a crystal structure in Alexandria, relaxed with PBE, the powder diffractogram of Ag5Cl2O2 was simulated for Cu Kα (weighted mean of Kα1 and Kα2).

Atomic structure:
```
data_Ag5Cl2O2
_cell_length_a 11.424
_cell_length_b 4.475
_cell_length_c 7.508
_cell_angle_alpha 90.00
_cell_angle_beta 113.72
_cell_angle_gamma 90.00
_space_group_name_H-M_alt 'C 1 2/m 1'
_space_group_IT_number 12
loop_
_space_group_symop_operation_xyz
'x,y,z'
'-x,-y,-z'
'-x,y,-z'
'x,-y,z'
'x+1/2,y+1/2,z'
'-x+1/2,-y+1/2,-z'
'-x+1/2,y+1/2,-z'
'x+1/2,-y+1/2,z'
loop_
_atom_site_label
_atom_site_type_symbol
_atom_site_fract_x
_atom_site_fract_y
_atom_site_fract_z
_atom_site_occupancy
Ag1 Ag 0.000 0.000 0.000 1
Ag2 Ag 0.137 0.500 0.882 1
Ag3 Ag 0.139 0.000 0.585 1
Cl1 Cl 0.108 0.500 0.372 1
O1 O 0.152 0.000 0.900 1
```

Peak list (10 most intense, 2θ = 15–90°, sorted by position)
- 3.533 Å, I 36
- 3.437 Å, I 19
- 2.889 Å, I 45
- 2.871 Å, I 100
- 2.855 Å, I 14
- 2.615 Å, I 24
- 2.585 Å, I 24
- 2.313 Å, I 32
- 2.238 Å, I 40
- 1.878 Å, I 19